Record 1
Structure and theoretical powder X-ray diffraction pattern of K2Cr3Cl2F6 (a cell relaxed with GGA+U; Cu Ka).

abc: 6.633 11.454 7.599
angles: 90.00 122.73 90.00
Space group P2_1/c (No. 14)
One atom of each set of equivalent atoms:
1 K 0.200 0.050 0.358
2 Cr 0.340 0.747 0.724
3 Cr 0.500 0.000 0.000
4 Cl 0.173 0.171 0.977
5 F 0.237 0.592 0.255
6 F 0.354 0.687 0.984
7 F 0.445 0.584 0.708

Peak list (8 most intense, 5 to 70 degrees two-theta, low angle first)
2θ (°)	I (rel.)	(hkl)
15.88	838	1 0 0
17.68	394	1 1 0
24.70	628	1 1 -2
27.44	384	1 1 1
28.20	1000	1 2 -2
33.04	798	2 1 0
34.53	537	1 4 -1
35.40	365	1 3 1

Record 2
Structure and theoretical powder X-ray diffraction pattern of Na2CrCl2F2 (a cell relaxed with GGA+U; Cu Ka).

abc: 3.623 5.946 6.447
angles: 70.66 84.82 80.82
Space group P-1 (No. 2)
One atom of each set of equivalent atoms:
1 Na 0.227 0.100 0.254
2 Cr 0.500 0.500 0.500
3 Cl 0.103 0.278 0.801
4 F 0.333 0.785 0.597

Peak list (8 most intense, 5 to 70 degrees two-theta, low angle first)
2θ (°)	I (rel.)	(hkl)
14.57	1000	0 0 1
17.82	541	0 1 1
28.43	731	1 0 1
30.77	580	0 2 1
34.34	338	1 1 -1
35.86	431	1 1 2
38.06	782	0 1 -2
51.52	384	2 1 0

Record 3
Structure and theoretical powder X-ray diffraction pattern of Rb2CrCl6F (a cell relaxed with GGA+U; Cu Ka).

abc: 7.781 7.781 9.160
angles: 90.00 90.00 90.00
Space group I4/mmm (No. 139)
One atom of each set of equivalent atoms:
1 Rb 0.000 0.500 0.250
2 Cr 0.000 0.000 0.000
3 Cl 0.000 0.000 0.275
4 Cl 0.213 0.213 0.000
5 F 0.000 0.000 0.500

Peak list (8 most intense, 5 to 70 degrees two-theta, low angle first)
2θ (°)	I (rel.)	(hkl)
22.86	406	2 0 0
25.30	606	1 1 2
30.14	1000	2 0 2
32.55	864	2 2 0
39.34	277	0 0 4
41.67	231	3 1 2
46.70	250	4 0 0
51.94	473	2 2 4

Copy entry 3 word for word.
Structure and theoretical powder X-ray diffraction pattern of Rb2CrCl6F (a cell relaxed with GGA+U; Cu Ka).

abc: 7.781 7.781 9.160
angles: 90.00 90.00 90.00
Space group I4/mmm (No. 139)
One atom of each set of equivalent atoms:
1 Rb 0.000 0.500 0.250
2 Cr 0.000 0.000 0.000
3 Cl 0.000 0.000 0.275
4 Cl 0.213 0.213 0.000
5 F 0.000 0.000 0.500

Peak list (8 most intense, 5 to 70 degrees two-theta, low angle first)
2θ (°)	I (rel.)	(hkl)
22.86	406	2 0 0
25.30	606	1 1 2
30.14	1000	2 0 2
32.55	864	2 2 0
39.34	277	0 0 4
41.67	231	3 1 2
46.70	250	4 0 0
51.94	473	2 2 4